[1]
This entry pairs a crystal structure of MgFeCo2O6 with its computed powder diffractogram. Radiation: copper Kα. Structure: a cell relaxed with GGA+U.

Crystal structure
```
10
Lattice="6.3062 -1.4522 0.0000 6.3062 1.4522 0.0000 -1.3457 0.0000 5.5831" Properties=species:S:1:pos:R:3 pbc="T T T"
Mg 0.0000 0.0000 0.0000
Fe 7.4553 0.0000 4.3926
Co 3.8194 0.0000 0.9819
Co 11.8088 0.0000 2.7702
O 1.0602 0.0000 3.1148
O 2.0833 0.0000 0.1909
O 5.6783 0.0000 1.4628
O 5.3324 0.0000 4.0876
O 9.2078 0.0000 5.3407
O 9.9976 0.0000 2.1634
```

Main lines, in order of falling intensity (5 to 70 degrees two-theta):
18.82 deg, d = 4.714 Å, I 100
44.35 deg, d = 2.042 Å, I 79
36.40 deg, d = 2.468 Å, I 26
64.69 deg, d = 1.441 Å, I 15
36.60 deg, d = 2.455 Å, I 13
38.01 deg, d = 2.368 Å, I 13
64.34 deg, d = 1.448 Å, I 11
64.13 deg, d = 1.452 Å, I 8
58.80 deg, d = 1.570 Å, I 8
38.44 deg, d = 2.342 Å, I 7

[2]
This entry pairs a crystal structure of BaMgVF7 with its computed powder diffractogram. Radiation: copper Kα. Structure: a cell relaxed with GGA+U.

Crystal structure
```
40
Lattice="5.6608 0.0000 0.0000 0.0000 10.0303 0.0000 -0.5042 0.0000 9.7152" Properties=species:S:1:pos:R:3 pbc="T T T"
Ba 1.3328 1.7977 0.0118
Ba 1.0807 3.2175 4.8694
Ba 4.0760 6.8128 4.8458
Ba 3.8239 8.2326 9.7034
Mg 0.6880 6.0594 7.8745
Mg 0.9401 8.9861 3.0169
Mg 4.2166 1.0442 6.6983
Mg 4.4686 3.9709 1.8407
V 1.6413 6.1397 1.8263
V 1.3892 8.9058 6.6839
V 3.7675 1.1245 3.0313
V 3.5154 3.8906 7.8889
F 0.0178 7.1517 2.4210
F -0.2342 7.8937 7.2786
F 0.3277 5.4339 6.0870
F 0.5798 9.6115 1.2294
F 0.4065 0.5252 6.1254
F 0.6585 4.4899 1.2678
F 1.3715 6.9152 0.0087
F 1.1194 8.1302 4.8663
F 1.9889 0.5195 3.6391
F 1.7368 4.4956 8.4967
F 2.0111 5.4399 3.5768
F 1.7591 9.6055 8.4344
F 2.3018 7.2022 7.2826
F 2.5538 7.8432 2.4250
F 2.6028 2.1871 7.2902
F 2.8549 2.8280 2.4326
F 3.3976 0.4248 1.2808
F 3.1455 4.5904 6.1384
F 3.4199 5.5347 1.2185
F 3.1678 9.5108 6.0761
F 4.0372 1.9001 4.8489
F 3.7852 3.1151 9.7065
F 4.4981 5.5404 8.4474
F 4.7502 9.5051 3.5898
F 4.5768 0.4187 8.4858
F 4.8289 4.5964 3.6282
F 5.3909 2.1366 2.4366
F 5.1388 2.8785 7.2942
```

Main lines, in order of falling intensity (5 to 70 degrees two-theta):
25.16 deg, d = 3.540 Å, I 100
26.35 deg, d = 3.383 Å, I 52
40.64 deg, d = 2.220 Å, I 51
40.29 deg, d = 2.238 Å, I 33
52.26 deg, d = 1.751 Å, I 28
41.30 deg, d = 2.186 Å, I 26
53.88 deg, d = 1.702 Å, I 23
25.75 deg, d = 3.460 Å, I 19
28.97 deg, d = 3.082 Å, I 19
31.65 deg, d = 2.827 Å, I 18

[3]
This entry pairs a crystal structure of Li3V4FeO12 with its computed powder diffractogram. Radiation: copper Kα. Structure: a cell relaxed with GGA+U.

Crystal structure
```
20
Lattice="5.0425 0.0000 0.0000 -0.0207 5.3540 0.0000 -0.0720 -0.6969 7.3744" Properties=species:S:1:pos:R:3 pbc="T T T"
Li 0.0000 0.0000 0.0000
Li 0.0002 -0.3404 3.6805
Li 2.5057 2.3383 3.6864
V 0.0332 2.1279 2.1909
V 2.4420 4.4144 5.6737
V 2.5310 4.8439 2.0821
V 4.9353 1.7071 5.7908
Fe 2.4467 2.0415 7.3642
O 0.6830 2.0571 0.3210
O 0.9265 3.5169 2.7183
O 0.9463 -0.0972 5.4616
O 1.5517 0.8115 2.6836
O 1.5969 2.6581 5.5630
O 1.8708 4.7087 0.4467
O 3.1032 4.4087 4.0683
O 3.3533 2.9591 1.7684
O 3.3826 0.5164 6.4580
O 3.9177 3.2055 6.4552
O 4.0729 0.2895 1.8174
O 4.4202 1.7133 4.0925
```

Main lines, in order of falling intensity (5 to 70 degrees two-theta):
24.24 deg, d = 3.672 Å, I 100
24.36 deg, d = 3.654 Å, I 97
24.14 deg, d = 3.687 Å, I 94
33.26 deg, d = 2.694 Å, I 79
40.98 deg, d = 2.202 Å, I 74
33.44 deg, d = 2.680 Å, I 73
33.63 deg, d = 2.665 Å, I 71
54.40 deg, d = 1.686 Å, I 50
35.48 deg, d = 2.530 Å, I 42
12.00 deg, d = 7.374 Å, I 40

[4]
This entry pairs a crystal structure of NiAuO2 with its computed powder diffractogram. Radiation: copper Kα. Structure: a cell relaxed with GGA+U.

Crystal structure
```
8
Lattice="3.0439 0.0000 0.0000 -1.5219 2.6361 0.0000 0.0000 0.0000 12.1591" Properties=species:S:1:pos:R:3 pbc="T T T"
Ni 0.0000 0.0000 0.0000
Ni 0.0000 0.0000 6.0795
Au 0.0000 1.7574 3.0398
Au 1.5219 0.8787 9.1193
O 0.0000 1.7574 1.0251
O 0.0000 1.7574 5.0544
O 1.5219 0.8787 7.1047
O 1.5219 0.8787 11.1340
```

Main lines, in order of falling intensity (5 to 70 degrees two-theta):
34.82 deg, d = 2.576 Å, I 100
37.18 deg, d = 2.419 Å, I 59
14.57 deg, d = 6.080 Å, I 46
29.38 deg, d = 3.040 Å, I 45
40.84 deg, d = 2.210 Å, I 39
51.10 deg, d = 1.787 Å, I 33
60.89 deg, d = 1.522 Å, I 30
69.01 deg, d = 1.361 Å, I 25
57.35 deg, d = 1.607 Å, I 21
64.21 deg, d = 1.450 Å, I 17

[5]
This entry pairs a crystal structure of EuHfCrBiO6 with its computed powder diffractogram. Radiation: copper Kα. Structure: a cell relaxed with GGA+U.

Crystal structure
```
10
Lattice="0.0000 4.0223 4.0223 4.0223 0.0000 4.0223 4.0223 4.0223 0.0000" Properties=species:S:1:pos:R:3 pbc="T T T"
Eu 0.0000 0.0000 0.0000
Hf 6.0335 6.0335 6.0335
Cr 2.0112 2.0112 2.0112
Bi 4.0223 4.0223 4.0223
O 2.0112 2.0112 0.0378
O 2.0112 0.0378 2.0112
O 3.9845 2.0112 2.0112
O 0.0378 2.0112 2.0112
O 2.0112 3.9845 2.0112
O 2.0112 2.0112 3.9845
```

Main lines, in order of falling intensity (5 to 70 degrees two-theta):
31.45 deg, d = 2.844 Å, I 100
56.00 deg, d = 1.642 Å, I 40
45.08 deg, d = 2.011 Å, I 28
65.65 deg, d = 1.422 Å, I 17
19.11 deg, d = 4.645 Å, I 12
37.06 deg, d = 2.426 Å, I 8
38.78 deg, d = 2.322 Å, I 6
49.38 deg, d = 1.846 Å, I 4
22.10 deg, d = 4.022 Å, I 3
59.73 deg, d = 1.548 Å, I 3

[6]
This entry pairs a crystal structure of NaLi2FePCO7 with its computed powder diffractogram. Radiation: copper Kα. Structure: a cell relaxed with GGA+U.

Crystal structure
```
52
Lattice="6.6945 0.0000 0.0000 0.0523 8.6573 0.0000 0.0979 0.4017 10.0851" Properties=species:S:1:pos:R:3 pbc="T T T"
Na 0.0000 0.0000 0.0000
Na 0.0641 4.3617 2.5144
Na 1.7610 5.9232 5.0295
Na 3.3924 4.3314 2.5018
Li 0.3570 4.3074 7.6975
Li 1.9153 5.9877 9.9861
Li 3.2459 4.3246 7.6806
Li 3.5296 0.5138 10.0366
Li 3.6241 0.3849 4.9585
Li 5.0142 7.4549 2.5583
Li 5.1045 7.5660 7.5419
Li 6.5520 0.3788 4.9045
Fe 1.7414 0.9613 2.7032
Fe 1.8106 1.0173 7.6493
Fe 5.0846 3.5956 4.9861
Fe 5.1354 3.7950 9.8687
P 1.7434 3.0251 5.3124
P 1.7280 2.8656 0.1182
P 5.0371 1.4307 2.3768
P 5.1219 1.5896 7.3434
C 1.8105 7.0289 7.5441
C 1.7975 7.0832 2.2234
C 4.9973 6.0762 0.1126
C 5.1079 6.3167 5.1281
O 0.5030 3.8319 4.8491
O 0.5601 4.0313 9.7108
O 1.7103 1.5507 4.8060
O 1.7867 7.5271 8.7386
O 1.7368 7.4963 3.4519
O 1.7030 2.7557 1.6774
O 1.7830 5.7443 7.3542
O 1.7385 5.8231 1.9205
O 1.7859 2.9841 6.8830
O 1.8685 7.8427 6.5231
O 1.9380 1.8534 9.6048
O 1.9156 7.9769 1.2875
O 3.0119 4.1868 9.7595
O 2.9745 3.8119 4.7935
O 3.8533 0.5946 2.9520
O 3.9340 0.7401 7.8846
O 4.9017 7.2979 0.5338
O 4.8977 1.5537 0.8236
O 5.0531 1.6538 5.7783
O 5.0796 5.4022 6.0575
O 5.1208 6.1698 8.9428
O 5.1018 3.0612 7.8686
O 5.0827 5.9619 3.8790
O 5.0726 5.1068 0.9958
O 5.0956 2.8450 2.9895
O 5.1597 7.5714 5.4772
O 6.2890 0.5787 2.7480
O 6.3844 0.8024 7.7694
```

Main lines, in order of falling intensity (5 to 70 degrees two-theta):
26.63 deg, d = 3.347 Å, I 100
10.23 deg, d = 8.650 Å, I 100
20.74 deg, d = 4.283 Å, I 35
35.61 deg, d = 2.521 Å, I 35
20.03 deg, d = 4.434 Å, I 33
26.61 deg, d = 3.350 Å, I 33
38.99 deg, d = 2.310 Å, I 26
33.75 deg, d = 2.655 Å, I 24
54.86 deg, d = 1.673 Å, I 23
16.74 deg, d = 5.295 Å, I 22

[7]
This entry pairs a crystal structure of LiV3O8 with its computed powder diffractogram. Radiation: copper Kα. Structure: a cell relaxed with GGA+U.

Crystal structure
```
24
Lattice="6.8374 0.0000 0.0000 0.0000 3.6293 0.0000 -3.0253 0.0000 11.5509" Properties=species:S:1:pos:R:3 pbc="T T T"
Li 0.7037 0.9073 2.1579
Li 3.1083 2.7219 9.3930
V -0.4101 2.7219 4.8418
V -0.2767 2.7219 8.0026
V -0.8117 2.7219 11.1157
V 4.6237 0.9073 0.4352
V 4.0887 0.9073 3.5483
V 4.2222 0.9073 6.7091
O -0.9556 0.9073 4.9436
O -1.6158 2.7219 9.5455
O -0.8082 0.9073 7.7927
O 1.0407 2.7219 0.7184
O 0.6472 2.7219 3.5884
O 0.5713 2.7219 6.3345
O -0.2138 0.9073 11.0879
O 1.0377 2.7219 8.9804
O 2.7743 0.9073 2.5705
O 4.0258 2.7219 0.4630
O 3.2407 0.9073 5.2164
O 3.1648 0.9073 7.9625
O 2.7713 0.9073 10.8325
O 4.6202 2.7219 3.7582
O 5.4279 0.9073 2.0054
O 4.7676 2.7219 6.6073
```

Main lines, in order of falling intensity (5 to 70 degrees two-theta):
13.64 deg, d = 6.493 Å, I 100
28.04 deg, d = 3.182 Å, I 75
30.48 deg, d = 2.933 Å, I 29
40.20 deg, d = 2.243 Å, I 23
50.28 deg, d = 1.815 Å, I 20
23.10 deg, d = 3.850 Å, I 19
41.63 deg, d = 2.169 Å, I 19
26.96 deg, d = 3.307 Å, I 19
59.96 deg, d = 1.543 Å, I 11
59.06 deg, d = 1.564 Å, I 11

[8]
This entry pairs a crystal structure of Mg2W3O8 with its computed powder diffractogram. Radiation: copper Kα. Structure: a cell relaxed with GGA+U.

Crystal structure
```
26
Lattice="6.2475 0.0000 0.0000 -3.1238 5.4105 0.0000 0.0000 0.0000 9.6187" Properties=species:S:1:pos:R:3 pbc="T T T"
Mg 0.0000 3.6070 0.0000
Mg 0.0000 3.6070 3.6544
Mg 3.1238 1.8035 4.8094
Mg 3.1238 1.8035 8.4637
W 0.0000 1.8177 6.8594
W -1.5496 4.5016 6.8594
W 1.5742 0.9089 2.0500
W 1.5496 4.5016 6.8594
W 4.6733 0.9089 2.0500
W 3.1238 3.5928 2.0500
O 0.0000 0.0000 3.1001
O 0.0000 0.0000 7.9094
O -1.3824 2.8089 8.1515
O 0.0000 1.8472 1.1578
O -1.5240 4.4869 1.1578
O 0.0000 3.6070 5.6827
O 1.5997 0.9236 5.9672
O 1.3824 2.8089 8.1515
O 0.0000 5.2033 8.1515
O 3.1238 0.2072 3.3421
O 1.7414 2.6016 3.3421
O 1.5240 4.4869 1.1578
O 3.1238 1.8035 0.8733
O 4.6478 0.9236 5.9672
O 3.1238 3.5633 5.9672
O 4.5062 2.6016 3.3421
```

Main lines, in order of falling intensity (5 to 70 degrees two-theta):
18.45 deg, d = 4.809 Å, I 100
34.44 deg, d = 2.604 Å, I 91
43.78 deg, d = 2.068 Å, I 50
18.82 deg, d = 4.716 Å, I 44
58.91 deg, d = 1.568 Å, I 30
38.17 deg, d = 2.358 Å, I 28
59.15 deg, d = 1.562 Å, I 24
62.53 deg, d = 1.486 Å, I 23
34.23 deg, d = 2.620 Å, I 23
33.11 deg, d = 2.705 Å, I 18

Question: What is the formula in the second record?
Answer: BaMgVF7